(1)
Simulated powder XRD pattern of Ba8Tl2Pd3 for Cu Kα (weighted mean of Kα1 and Kα2), from a crystal structure in Alexandria, relaxed with GGA-PBE.
Kinematic intensities with the Lorentz-polarization factor, no thermal factor.

Structural model:
```
data_Ba8Tl2Pd3
_chemical_formula_sum 'Ba8 Tl2 Pd3'
_cell_length_a 9.9772
_cell_length_b 5.7472
_cell_length_c 9.9962
_cell_angle_alpha 90.00
_cell_angle_beta 109.51
_cell_angle_gamma 90.00
_space_group_name_H-M_alt 'P 1 2/m 1'
_space_group_IT_number 10
loop_
_space_group_symop_operation_xyz
'x,y,z'
'-x,-y,-z'
'-x,y,-z'
'x,-y,z'
loop_
_atom_site_label
_atom_site_type_symbol
_atom_site_fract_x
_atom_site_fract_y
_atom_site_fract_z
Ba1 Ba 0.1147 0.0000 0.3849
Ba2 Ba 0.1249 0.5000 0.8593
Ba3 Ba 0.3595 0.5000 0.6240
Ba4 Ba 0.3797 0.0000 0.1198
Tl1 Tl 0.2563 0.5000 0.2430
Pd1 Pd 0.0000 0.5000 0.5000
Pd2 Pd 0.2576 0.0000 0.7572
```

Top 8 peaks for 2θ from 10° to 80°, low angle first:
(hkl)	d/Å	2theta	I/Imax
2 0 0	4.702	18.87	22
2 0 2	2.881	31.04	100
0 2 0	2.874	31.12	20
1 1 3	2.457	36.57	8
2 2 2	2.036	44.50	22
1 1 5	1.665	55.16	11
1 3 -3	1.662	55.27	26
5 3 1	1.287	73.57	10

(2)
Simulated powder XRD pattern of AlPbF5 for Cu Kα (weighted mean of Kα1 and Kα2), from a crystal structure in Alexandria, relaxed with GGA-PBE.
Kinematic intensities with the Lorentz-polarization factor, no thermal factor.

Structural model:
```
data_AlPbF5
_chemical_formula_sum 'Al16 Pb16 F80'
_cell_length_a 14.5309
_cell_length_b 14.5309
_cell_length_c 7.2762
_cell_angle_alpha 90.00
_cell_angle_beta 90.00
_cell_angle_gamma 90.00
_space_group_name_H-M_alt 'I 4'
_space_group_IT_number 79
loop_
_space_group_symop_operation_xyz
'x,y,z'
'-y,x,z'
'-x,-y,z'
'y,-x,z'
'x+1/2,y+1/2,z+1/2'
'-y+1/2,x+1/2,z+1/2'
'-x+1/2,-y+1/2,z+1/2'
'y+1/2,-x+1/2,z+1/2'
loop_
_atom_site_label
_atom_site_type_symbol
_atom_site_fract_x
_atom_site_fract_y
_atom_site_fract_z
Al1 Al 0.0000 0.0000 0.0000
Al2 Al 0.0000 0.0000 0.4957
Al3 Al 0.0000 0.5000 0.2467
Al4 Al 0.1632 0.6806 0.2469
Pb1 Pb 0.0498 0.7726 0.7469
Pb2 Pb 0.0739 0.2399 0.2469
F1 F 0.0000 0.0000 0.2478
F2 F 0.0000 0.0000 0.7478
F3 F 0.0000 0.5000 0.4967
F4 F 0.0423 0.1175 0.5003
F5 F 0.0422 0.1175 0.9953
F6 F 0.0544 0.6116 0.2468
F7 F 0.0641 0.6088 0.7467
F8 F 0.1011 0.2904 0.5758
F9 F 0.1011 0.2904 0.9182
F10 F 0.1056 0.7512 0.0740
F11 F 0.1056 0.7512 0.4198
F12 F 0.2356 0.7454 0.7469
```

Top 8 peaks for 2θ from 10° to 80°, low angle first:
(hkl)	d/Å	2theta	I/Imax
2 2 0	5.137	17.26	63
2 1 1	4.847	18.30	37
0 0 2	3.636	24.48	83
2 3 1	3.525	25.26	68
1 4 1	3.172	28.13	100
2 2 2	2.969	30.10	44
4 5 1	2.166	41.69	37
6 3 1	2.077	43.58	60